Record 1
For ThUO4, a DFT-relaxed cell (GGA-PBE, the Materials Project) gives the calculated powder X-ray diffraction pattern in this record (a wavelength of 1.5418 Å).

Peak list (11 most intense, 10 to 90 degrees two-theta, in order of rising 2θ)
3.196 Å, 27.9 deg, I 100, hkl 1 0 1
2.768 Å, 32.3 deg, I 37, hkl 1 1 0
1.957 Å, 46.4 deg, I 50, hkl 2 0 0
1.669 Å, 55.0 deg, I 48, hkl 2 1 1
1.598 Å, 57.7 deg, I 11, hkl 2 0 2
1.385 Å, 67.6 deg, I 3, hkl 0 0 4
1.383 Å, 67.8 deg, I 5, hkl 2 2 0
1.270 Å, 74.8 deg, I 20, hkl 3 0 1
1.238 Å, 77.0 deg, I 10, hkl 1 1 4
1.237 Å, 77.1 deg, I 5, hkl 3 1 0
1.130 Å, 86.0 deg, I 17, hkl 3 1 2

Unit cell a=3.9120 b=3.9120 c=5.5418 alpha=90.00 beta=90.00 gamma=90.00
Space group P4/mmm (No. 123)
Unique sites:
Th 0.0000 0.0000 0.0000
U 0.5000 0.5000 0.5000
O 0.0000 0.5000 0.2563

Record 2
For ThZr2U2O10, a DFT-relaxed cell (GGA-PBE, the Materials Project) gives the calculated powder X-ray diffraction pattern in this record (a wavelength of 1.5418 Å).

Peak list (12 most intense, 10 to 90 degrees two-theta, in order of rising 2θ)
3.099 Å, 28.8 deg, I 100, hkl 0 1 5
3.070 Å, 29.1 deg, I 31, hkl 0 0 15
2.678 Å, 33.5 deg, I 43, hkl 1 0 10
1.900 Å, 47.9 deg, I 35, hkl 1 1 0
1.887 Å, 48.2 deg, I 32, hkl 0 1 20
1.620 Å, 56.8 deg, I 15, hkl 2 0 5
1.616 Å, 57.0 deg, I 29, hkl 1 1 15
1.607 Å, 57.3 deg, I 12, hkl 1 0 25
1.550 Å, 59.7 deg, I 9, hkl 0 2 10
1.339 Å, 70.3 deg, I 9, hkl 2 0 20
1.233 Å, 77.4 deg, I 13, hkl 1 2 5
1.094 Å, 89.6 deg, I 11, hkl 1 2 20

Unit cell a=3.8006 b=3.8006 c=46.0512 alpha=90.00 beta=90.00 gamma=120.00
Space group R3m (No. 160, hexagonal axes)
Unique sites:
Th 0.0000 0.0000 0.0000
Zr 0.0000 0.0000 0.2053
Zr 0.0000 0.0000 0.5992
U 0.0000 0.0000 0.4051
U 0.0000 0.0000 0.8064
O 0.0000 0.0000 0.0545
O 0.0000 0.0000 0.1571
O 0.0000 0.0000 0.2517
O 0.0000 0.0000 0.3522
O 0.0000 0.0000 0.4563
O 0.0000 0.0000 0.5530
O 0.0000 0.0000 0.6477
O 0.0000 0.0000 0.7555
O 0.0000 0.0000 0.8574
O 0.0000 0.0000 0.9470

Record 3
For YTh4O10, a DFT-relaxed cell (GGA-PBE, the Materials Project) gives the calculated powder X-ray diffraction pattern in this record (a wavelength of 1.5418 Å).

Peak list (12 most intense, 10 to 90 degrees two-theta, in order of rising 2θ)
6.246 Å, 14.2 deg, I 3, hkl 1 1 0
4.725 Å, 18.8 deg, I 4, hkl 1 0 1
4.417 Å, 20.1 deg, I 2, hkl 2 0 0
3.227 Å, 27.6 deg, I 100, hkl 2 1 1
2.794 Å, 32.0 deg, I 35, hkl 1 3 0
1.976 Å, 45.9 deg, I 51, hkl 4 2 0
1.685 Å, 54.5 deg, I 47, hkl 5 0 1
1.613 Å, 57.1 deg, I 10, hkl 4 2 2
1.397 Å, 67.0 deg, I 8, hkl 0 0 4
1.282 Å, 73.9 deg, I 19, hkl 6 3 1
1.250 Å, 76.2 deg, I 14, hkl 1 3 4
1.141 Å, 85.0 deg, I 17, hkl 4 2 4

Unit cell a=8.8338 b=8.8338 c=5.5915 alpha=90.00 beta=90.00 gamma=90.00
Space group I4/m (No. 87)
Unique sites:
Y 0.0000 0.0000 0.0000
Th 0.1010 0.2982 0.5000
O 0.0000 0.5000 0.2500
O 0.0996 0.8002 0.2501

Record 4
For YTh9O20, a DFT-relaxed cell (GGA-PBE, the Materials Project) gives the calculated powder X-ray diffraction pattern in this record (a wavelength of 1.5418 Å).

Peak list (12 most intense, 10 to 90 degrees two-theta, in order of rising 2θ)
3.234 Å, 27.6 deg, I 100, hkl 1 0 2
2.801 Å, 32.0 deg, I 36, hkl 1 2 0
1.980 Å, 45.8 deg, I 51, hkl 3 0 1
1.690 Å, 54.3 deg, I 32, hkl 2 2 2
1.688 Å, 54.4 deg, I 16, hkl 4 -2 0
1.617 Å, 56.9 deg, I 10, hkl 2 0 4
1.401 Å, 66.8 deg, I 5, hkl 2 4 0
1.399 Å, 66.9 deg, I 3, hkl 4 -4 2
1.285 Å, 73.7 deg, I 20, hkl 5 0 0
1.253 Å, 76.0 deg, I 7, hkl 4 2 1
1.252 Å, 76.0 deg, I 5, hkl 5 -2 2
1.143 Å, 84.8 deg, I 15, hkl 5 2 -2

Unit cell a=6.8566 b=7.9188 c=8.8598 alpha=102.88 beta=97.47 gamma=106.70
Space group P-1 (No. 2)
Unique sites:
Y 0.0000 0.0000 0.0000
Th 0.0000 0.5000 0.0000
Th 0.1993 0.3983 0.3982
Th 0.1993 0.9004 0.3981
Th 0.3982 0.2988 0.8011
Th 0.4009 0.8017 0.8019
O 0.0500 0.2253 0.8498
O 0.0500 0.7245 0.8498
O 0.1498 0.1748 0.5499
O 0.1499 0.6750 0.5498
O 0.2502 0.1251 0.2504
O 0.2503 0.6252 0.2501
O 0.3503 0.0752 0.9498
O 0.3503 0.5749 0.9502
O 0.4498 0.0251 0.6497
O 0.4499 0.5247 0.6500

Record 5
For Y2Th5O13, a DFT-relaxed cell (GGA-PBE, the Materials Project) gives the calculated powder X-ray diffraction pattern in this record (a wavelength of 1.5418 Å).

Peak list (12 most intense, 10 to 90 degrees two-theta, in order of rising 2θ)
3.244 Å, 27.5 deg, I 34, hkl 0 0 21
3.208 Å, 27.8 deg, I 100, hkl 1 0 7
2.786 Å, 32.1 deg, I 47, hkl 0 1 14
1.978 Å, 45.9 deg, I 34, hkl 1 0 28
1.962 Å, 46.3 deg, I 34, hkl 1 1 0
1.689 Å, 54.3 deg, I 16, hkl 0 1 35
1.679 Å, 54.7 deg, I 31, hkl 1 1 21
1.674 Å, 54.8 deg, I 16, hkl 0 2 7
1.604 Å, 57.4 deg, I 10, hkl 2 0 14
1.393 Å, 67.2 deg, I 10, hkl 0 2 28
1.273 Å, 74.5 deg, I 13, hkl 2 1 7
1.136 Å, 85.5 deg, I 11, hkl 2 1 28

Unit cell a=3.9242 b=3.9242 c=68.1294 alpha=90.00 beta=90.00 gamma=120.00
Space group R3m (No. 160, hexagonal axes)
Unique sites:
Y 0.0000 0.0000 0.0000
Y 0.0000 0.0000 0.2833
Th 0.0000 0.0000 0.1427
Th 0.0000 0.0000 0.4281
Th 0.0000 0.0000 0.5720
Th 0.0000 0.0000 0.7134
Th 0.0000 0.0000 0.8572
O 0.0000 0.0000 0.0345
O 0.0000 0.0000 0.1061
O 0.0000 0.0000 0.1777
O 0.0000 0.0000 0.2499
O 0.0000 0.0000 0.3916
O 0.0000 0.0000 0.4633
O 0.0000 0.0000 0.5352
O 0.0000 0.0000 0.6072
O 0.0000 0.0000 0.6730
O 0.0000 0.0000 0.7485
O 0.0000 0.0000 0.8207
O 0.0000 0.0000 0.8924
O 0.0000 0.0000 0.9689

Record 6
For Ti6O, a DFT-relaxed cell (GGA-PBE, the Materials Project) gives the calculated powder X-ray diffraction pattern in this record (a wavelength of 1.5418 Å).

Peak list (12 most intense, 10 to 90 degrees two-theta, in order of rising 2θ)
4.428 Å, 20.1 deg, I 2, hkl 1 0 0
2.557 Å, 35.1 deg, I 19, hkl 1 1 0
2.375 Å, 37.9 deg, I 23, hkl 0 0 2
2.251 Å, 40.1 deg, I 100, hkl 2 -1 1
1.740 Å, 52.6 deg, I 17, hkl 1 1 2
1.476 Å, 63.0 deg, I 17, hkl 3 0 0
1.346 Å, 69.9 deg, I 16, hkl 2 -1 3
1.278 Å, 74.2 deg, I 2, hkl 2 2 0
1.254 Å, 75.9 deg, I 15, hkl 3 0 2
1.234 Å, 77.3 deg, I 12, hkl 2 2 1
1.187 Å, 81.0 deg, I 2, hkl 0 0 4
1.126 Å, 86.5 deg, I 4, hkl 4 -2 2

Unit cell a=5.1133 b=5.1133 c=4.7497 alpha=90.00 beta=90.00 gamma=120.00
Space group P-31m (No. 162)
Unique sites:
Ti 0.0000 0.3316 0.2608
O 0.0000 0.0000 0.0000

Record 7
For Ti9O13, a DFT-relaxed cell (GGA-PBE, the Materials Project) gives the calculated powder X-ray diffraction pattern in this record (a wavelength of 1.5418 Å).

Peak list (12 most intense, 10 to 90 degrees two-theta, in order of rising 2θ)
8.779 Å, 10.1 deg, I 100, hkl 0 0 2
4.856 Å, 18.3 deg, I 16, hkl 2 0 0
4.540 Å, 19.6 deg, I 17, hkl 2 0 -2
2.687 Å, 33.3 deg, I 25, hkl 2 0 -6
2.665 Å, 33.6 deg, I 23, hkl 2 0 5
2.453 Å, 36.6 deg, I 12, hkl 4 0 -1
2.154 Å, 41.9 deg, I 14, hkl 3 1 -2
2.126 Å, 42.5 deg, I 18, hkl 3 1 1
2.102 Å, 43.0 deg, I 32, hkl 3 1 -3
2.024 Å, 44.8 deg, I 12, hkl 3 1 -4
1.512 Å, 61.3 deg, I 11, hkl 5 1 3
1.460 Å, 63.8 deg, I 21, hkl 0 2 0

Unit cell a=9.8141 b=2.9190 c=17.7514 alpha=90.00 beta=98.48 gamma=90.00
Space group C2/m (No. 12)
Unique sites:
Ti 0.0000 0.0000 0.0000
Ti 0.0183 0.5000 0.1750
Ti 0.0682 0.5000 0.3721
Ti 0.1559 0.0000 0.5370
Ti 0.2428 0.5000 0.0765
O 0.0000 0.5000 0.5000
O 0.0660 0.0000 0.6307
O 0.0981 0.5000 0.2719
O 0.1149 0.0000 0.1162
O 0.1186 0.0000 0.8304
O 0.1297 0.5000 0.9643
O 0.2022 0.0000 0.4199

Record 8
For TiO2, a DFT-relaxed cell (GGA-PBE, the Materials Project) gives the calculated powder X-ray diffraction pattern in this record (a wavelength of 1.5418 Å).

Peak list (12 most intense, 10 to 90 degrees two-theta, in order of rising 2θ)
3.568 Å, 25.0 deg, I 84, hkl 1 1 0
3.542 Å, 25.1 deg, I 100, hkl 1 1 -1
2.467 Å, 36.4 deg, I 8, hkl 1 1 1
2.398 Å, 37.5 deg, I 38, hkl 0 0 2
1.914 Å, 47.5 deg, I 54, hkl 2 2 -1
1.723 Å, 53.2 deg, I 17, hkl 1 1 2
1.708 Å, 53.7 deg, I 18, hkl 1 1 -3
1.688 Å, 54.4 deg, I 20, hkl 1 3 0
1.681 Å, 54.6 deg, I 8, hkl 3 1 -2
1.504 Å, 61.7 deg, I 14, hkl 2 2 1
1.488 Å, 62.4 deg, I 13, hkl 2 2 -3
1.353 Å, 69.5 deg, I 14, hkl 4 0 -2

Unit cell a=5.4121 b=5.4133 c=5.4720 alpha=90.00 beta=118.77 gamma=90.00
Space group C2/c (No. 15)
Unique sites:
Ti 0.0000 0.1341 0.2500
O 0.2100 0.1212 0.6671

Record 9
For Ti19O30, a DFT-relaxed cell (GGA-PBE, the Materials Project) gives the calculated powder X-ray diffraction pattern in this record (a wavelength of 1.5418 Å).

Peak list (12 most intense, 10 to 90 degrees two-theta, in order of rising 2θ)
3.738 Å, 23.8 deg, I 79, hkl -1 1 3
2.746 Å, 32.6 deg, I 100, hkl 1 1 -1
2.551 Å, 35.2 deg, I 86, hkl 2 -1 0
2.239 Å, 40.3 deg, I 46, hkl 1 -2 6
1.869 Å, 48.7 deg, I 40, hkl 2 0 6
1.723 Å, 53.1 deg, I 94, hkl 2 1 2
1.723 Å, 53.2 deg, I 18, hkl 1 1 9
1.508 Å, 61.5 deg, I 32, hkl 3 0 -1
1.473 Å, 63.1 deg, I 50, hkl 3 -2 7
1.336 Å, 70.5 deg, I 17, hkl 1 3 1
1.184 Å, 81.3 deg, I 9, hkl 2 2 8
1.120 Å, 87.0 deg, I 18, hkl -4 4 2

Unit cell a=5.1019 b=5.5238 c=21.1471 alpha=94.18 beta=90.06 gamma=117.48
Space group P1 (No. 1)
Unique sites:
Ti 0.0000 0.0000 0.0000
Ti 0.0272 0.0595 0.8601
Ti 0.0963 0.2007 0.2969
Ti 0.1229 0.2732 0.1637
Ti 0.1956 0.3963 0.5974
Ti 0.2274 0.4587 0.4588
Ti 0.2968 0.5986 0.8998
Ti 0.3276 0.6590 0.7599
Ti 0.4298 0.8570 0.0661
Ti 0.4941 0.9983 0.4971
Ti 0.5270 0.0486 0.3564
Ti 0.5945 0.1956 0.7983
Ti 0.6280 0.2596 0.6594
Ti 0.7010 0.3991 0.0983
Ti 0.7294 0.4597 0.9597
Ti 0.7954 0.5979 0.3955
Ti 0.8270 0.6669 0.2524
Ti 0.8954 0.7958 0.6977
Ti 0.9269 0.8595 0.5586
O 0.0445 0.4467 0.2429
O 0.0483 0.7283 0.4781
O 0.0953 0.8640 0.3402
O 0.1148 0.9998 0.2153
O 0.1246 0.5829 0.1114
O 0.1758 0.7296 0.9798
O 0.2537 0.1359 0.0794
O 0.2739 0.8648 0.8414
O 0.2871 0.2654 0.9413
O 0.3367 0.9897 0.7164
O 0.3477 0.3904 0.8169
O 0.3732 0.1281 0.5787
O 0.4491 0.5277 0.6786
O 0.4783 0.2682 0.4403
O 0.4853 0.6664 0.5406
O 0.5357 0.3851 0.3155
O 0.5514 0.7916 0.4171
O 0.5721 0.5041 0.1771
O 0.6630 0.9125 0.2876
O 0.6761 0.6669 0.0405
O 0.7199 0.0770 0.1337
O 0.7392 0.1853 0.0144
O 0.7398 0.7917 0.9168
O 0.7738 0.9276 0.7787
O 0.8508 0.3288 0.8785
O 0.8748 0.0652 0.6407
O 0.8860 0.4651 0.7410
O 0.9361 0.1908 0.5161
O 0.9485 0.5905 0.6160
O 0.9740 0.3295 0.3789

Record 10
For Ti3O4, a DFT-relaxed cell (GGA-PBE, the Materials Project) gives the calculated powder X-ray diffraction pattern in this record (a wavelength of 1.5418 Å).

Peak list (12 most intense, 10 to 90 degrees two-theta, in order of rising 2θ)
4.097 Å, 21.7 deg, I 19, hkl 0 0 2
3.707 Å, 24.0 deg, I 53, hkl 1 0 1
2.939 Å, 30.4 deg, I 15, hkl 1 1 0
2.388 Å, 37.7 deg, I 43, hkl 1 1 2
2.283 Å, 39.5 deg, I 18, hkl 1 0 3
2.078 Å, 43.5 deg, I 100, hkl 2 0 0
2.049 Å, 44.2 deg, I 47, hkl 0 0 4
1.813 Å, 50.3 deg, I 12, hkl 2 1 1
1.470 Å, 63.3 deg, I 27, hkl 2 2 0
1.459 Å, 63.8 deg, I 52, hkl 2 0 4
1.252 Å, 76.0 deg, I 13, hkl 3 1 2
1.194 Å, 80.4 deg, I 24, hkl 2 2 4

Unit cell a=4.1570 b=4.1570 c=8.1940 alpha=90.00 beta=90.00 gamma=90.00
Space group I4/mmm (No. 139)
Unique sites:
Ti 0.0000 0.0000 0.0000
Ti 0.0000 0.5000 0.2500
O 0.0000 0.0000 0.2588
O 0.0000 0.5000 0.0000

Record 11
For TiO2, a DFT-relaxed cell (GGA-PBE, the Materials Project) gives the calculated powder X-ray diffraction pattern in this record (a wavelength of 1.5418 Å).

Peak list (12 most intense, 10 to 90 degrees two-theta, in order of rising 2θ)
2.830 Å, 31.6 deg, I 100, hkl 1 1 1
2.451 Å, 36.7 deg, I 31, hkl 2 0 0
2.192 Å, 41.2 deg, I 24, hkl 2 1 0
2.001 Å, 45.3 deg, I 10, hkl 2 1 1
1.733 Å, 52.8 deg, I 48, hkl 2 2 0
1.634 Å, 56.3 deg, I 2, hkl 2 2 1
1.478 Å, 62.9 deg, I 60, hkl 3 1 1
1.415 Å, 66.0 deg, I 11, hkl 2 2 2
1.310 Å, 72.1 deg, I 5, hkl 3 1 2
1.225 Å, 78.0 deg, I 2, hkl 4 0 0
1.125 Å, 86.6 deg, I 9, hkl 3 3 1
1.096 Å, 89.4 deg, I 20, hkl 4 2 0

Unit cell a=4.9019 b=4.9019 c=4.9019 alpha=90.00 beta=90.00 gamma=90.00
Space group Pa-3 (No. 205)
Unique sites:
Ti 0.0000 0.0000 0.0000
O 0.1591 0.6591 0.8409

Repeat the third record exactly.
For YTh4O10, a DFT-relaxed cell (GGA-PBE, the Materials Project) gives the calculated powder X-ray diffraction pattern in this record (a wavelength of 1.5418 Å).

Peak list (12 most intense, 10 to 90 degrees two-theta, in order of rising 2θ)
6.246 Å, 14.2 deg, I 3, hkl 1 1 0
4.725 Å, 18.8 deg, I 4, hkl 1 0 1
4.417 Å, 20.1 deg, I 2, hkl 2 0 0
3.227 Å, 27.6 deg, I 100, hkl 2 1 1
2.794 Å, 32.0 deg, I 35, hkl 1 3 0
1.976 Å, 45.9 deg, I 51, hkl 4 2 0
1.685 Å, 54.5 deg, I 47, hkl 5 0 1
1.613 Å, 57.1 deg, I 10, hkl 4 2 2
1.397 Å, 67.0 deg, I 8, hkl 0 0 4
1.282 Å, 73.9 deg, I 19, hkl 6 3 1
1.250 Å, 76.2 deg, I 14, hkl 1 3 4
1.141 Å, 85.0 deg, I 17, hkl 4 2 4

Unit cell a=8.8338 b=8.8338 c=5.5915 alpha=90.00 beta=90.00 gamma=90.00
Space group I4/m (No. 87)
Unique sites:
Y 0.0000 0.0000 0.0000
Th 0.1010 0.2982 0.5000
O 0.0000 0.5000 0.2500
O 0.0996 0.8002 0.2501

Number 5 is which compound? Y2Th5O13